[1]
Er4TeAs3: simulated X-ray powder pattern (Cu Kα (λ = 1.5418 Å)), based on the PBE geometry in Alexandria.
Intensities are scaled so that the largest is 100.

Main lines, sorted by position (2θ from 15° to 90°):
hkl 1 1 0, 2θ = 26.40°, 3.376 Å, I = 8.6; hkl 0 2 0, 2θ = 30.50°, 2.931 Å, I = 100.0; hkl 0 0 4, 2θ = 43.55°, 2.078 Å, I = 11.6; hkl 1 2 2, 2θ = 43.66°, 2.073 Å, I = 49.6; hkl 2 0 0, 2θ = 43.89°, 2.063 Å, I = 12.5; hkl 0 2 4, 2θ = 54.06°, 1.696 Å, I = 12.3; hkl 2 2 0, 2θ = 54.35°, 1.688 Å, I = 13.3; hkl 1 4 2, 2θ = 71.93°, 1.313 Å, I = 15.9; hkl 2 2 4, 2θ = 72.09°, 1.310 Å, I = 10.4; hkl 0 4 4, 2θ = 80.03°, 1.199 Å, I = 10.9

Cell and atoms:
Lattice parameters (Å, degrees): 4.125 5.873 8.312 90.00 90.00 90.00
Space group Pmmm (No. 47)
Inequivalent atoms, fractional coordinates:
Er 0.000 0.000 0.000 [1 per cell]
Er 0.000 0.000 0.500 [1 per cell]
Er 0.500 0.500 0.229 [2 per cell]
Te 0.000 0.500 0.500 [1 per cell]
As 0.000 0.500 0.000 [1 per cell]
As 0.500 0.000 0.251 [2 per cell]

[2]
ErTm2As3: simulated X-ray powder pattern (Cu Kα (λ = 1.5418 Å)), based on the PBE geometry in Alexandria.
Intensities are scaled so that the largest is 100.

Main lines, sorted by position (2θ from 15° to 90°):
hkl 1 1 0, 2θ = 26.83°, 3.323 Å, I = 25.5; hkl 1 0 3, 2θ = 31.08°, 2.878 Å, I = 100.0; hkl 2 0 0, 2θ = 44.52°, 2.035 Å, I = 74.4; hkl 2 1 3, 2θ = 52.75°, 1.735 Å, I = 12.6; hkl 2 2 0, 2θ = 55.29°, 1.661 Å, I = 26.2; hkl 2 0 6, 2θ = 64.79°, 1.439 Å, I = 12.2; hkl 3 1 0, 2θ = 71.44°, 1.320 Å, I = 5.2; hkl 3 0 3, 2θ = 73.60°, 1.287 Å, I = 33.5; hkl 3 2 3, 2θ = 82.02°, 1.175 Å, I = 25.3; hkl 3 3 0, 2θ = 88.21°, 1.108 Å, I = 4.2

Cell and atoms:
Lattice parameters (Å, degrees): 4.072 5.754 12.206 90.00 90.00 90.00
Space group Immm (No. 71)
Inequivalent atoms, fractional coordinates:
Er 0.000 0.000 0.000 [2 per cell]
Tm 0.000 0.000 0.333 [4 per cell]
As 0.000 0.500 0.000 [2 per cell]
As 0.000 0.500 0.333 [4 per cell]

[3]
ErU3As4: simulated X-ray powder pattern (Cu Kα (λ = 1.5418 Å)), based on the PBE geometry in Alexandria.
Intensities are scaled so that the largest is 100.

Main lines, sorted by position (2θ from 15° to 90°):
hkl 2 2 0, 2θ = 26.54°, 3.358 Å, I = 20.6; hkl 0 2 1, 2θ = 26.90°, 3.314 Å, I = 20.0; hkl 2 0 1, 2θ = 30.95°, 2.889 Å, I = 100.0; hkl 4 0 0, 2θ = 43.88°, 2.063 Å, I = 12.9; hkl 2 4 1, 2θ = 44.34°, 2.043 Å, I = 50.2; hkl 0 0 2, 2θ = 44.81°, 2.023 Å, I = 12.2; hkl 4 4 0, 2θ = 54.66°, 1.679 Å, I = 13.7; hkl 0 4 2, 2θ = 55.46°, 1.657 Å, I = 13.1; hkl 4 0 2, 2θ = 64.51°, 1.444 Å, I = 12.6; hkl 4 4 2, 2θ = 73.27°, 1.292 Å, I = 23.5

Cell and atoms:
Lattice parameters (Å, degrees): 8.254 11.555 4.045 90.00 90.00 90.00
Space group Cmmm (No. 65)
Inequivalent atoms, fractional coordinates:
Er 0.000 0.000 0.000 [2 per cell]
U 0.000 0.500 0.000 [2 per cell]
U 0.250 0.250 0.500 [4 per cell]
As 0.000 0.249 0.000 [4 per cell]
As 0.249 0.000 0.500 [4 per cell]

[4]
YEr2As: simulated X-ray powder pattern (Cu Kα (λ = 1.5418 Å)), based on the PBE geometry in Alexandria.
Intensities are scaled so that the largest is 100.

Main lines, sorted by position (2θ from 15° to 90°):
hkl 0 1 2, 2θ = 27.68°, 3.223 Å, I = 13.1; hkl 0 0 9, 2θ = 28.49°, 3.133 Å, I = 19.9; hkl 1 0 4, 2θ = 29.81°, 2.997 Å, I = 100.0; hkl 0 1 5, 2θ = 31.33°, 2.855 Å, I = 22.2; hkl 1 0 7, 2θ = 35.08°, 2.558 Å, I = 21.9; hkl 0 1 8, 2θ = 37.26°, 2.413 Å, I = 26.8; hkl 0 1 11, 2θ = 44.71°, 2.027 Å, I = 16.6; hkl 1 1 0, 2θ = 47.57°, 1.911 Å, I = 33.9; hkl 1 1 9, 2θ = 56.39°, 1.632 Å, I = 17.7; hkl 0 2 4, 2θ = 57.16°, 1.612 Å, I = 15.8

Cell and atoms:
Lattice parameters (Å, degrees): 3.8230 3.8230 28.1985 90.00 90.00 120.00
Space group R-3m (No. 166, hexagonal axes)
Inequivalent atoms, fractional coordinates:
Y 0.0000 0.0000 0.0000 [3 per cell]
Er 0.0000 0.0000 0.2278 [6 per cell]
As 0.0000 0.0000 0.5000 [3 per cell]

[5]
ErZrAs2: simulated X-ray powder pattern (Cu Kα (λ = 1.5418 Å)), based on the PBE geometry in Alexandria.
Intensities are scaled so that the largest is 100.

Main lines, sorted by position (2θ from 15° to 90°):
hkl 0 1 2, 2θ = 27.64°, 3.227 Å, I = 9.1; hkl 1 0 4, 2θ = 31.91°, 2.805 Å, I = 100.0; hkl 0 1 8, 2θ = 45.50°, 1.994 Å, I = 36.8; hkl 1 1 0, 2θ = 46.01°, 1.973 Å, I = 36.0; hkl 0 0 12, 2θ = 56.21°, 1.636 Å, I = 6.4; hkl 0 2 4, 2θ = 57.08°, 1.614 Å, I = 18.8; hkl 2 0 8, 2θ = 66.70°, 1.402 Å, I = 11.6; hkl 1 1 12, 2θ = 75.48°, 1.260 Å, I = 16.0; hkl 2 1 4, 2θ = 76.23°, 1.249 Å, I = 15.9; hkl 1 2 8, 2θ = 84.83°, 1.143 Å, I = 12.1

Cell and atoms:
Lattice parameters (Å, degrees): 3.9456 3.9456 19.6377 90.00 90.00 120.00
Space group R-3m (No. 166, hexagonal axes)
Inequivalent atoms, fractional coordinates:
Er 0.0000 0.0000 0.0000 [3 per cell]
Zr 0.0000 0.0000 0.5000 [3 per cell]
As 0.0000 0.0000 0.2466 [6 per cell]

[6]
ErZrAs: simulated X-ray powder pattern (Cu Kα (λ = 1.5418 Å)), based on the PBE geometry in Alexandria.
Intensities are scaled so that the largest is 100.

Main lines, sorted by position (2θ from 15° to 90°):
hkl 0 2 0, 2θ = 29.16°, 3.062 Å, I = 36.6; hkl 2 1 0, 2θ = 30.33°, 2.947 Å, I = 89.4; hkl 1 1 -2, 2θ = 30.92°, 2.892 Å, I = 100.0; hkl 1 1 2, 2θ = 31.03°, 2.882 Å, I = 94.7; hkl 2 2 0, 2θ = 39.82°, 2.264 Å, I = 41.5; hkl 1 2 -2, 2θ = 40.28°, 2.239 Å, I = 36.5; hkl 1 2 2, 2θ = 40.38°, 2.234 Å, I = 36.4; hkl 3 0 2, 2θ = 47.38°, 1.919 Å, I = 30.2; hkl 0 0 4, 2θ = 48.59°, 1.874 Å, I = 30.6; hkl 1 3 2, 2θ = 52.85°, 1.732 Å, I = 41.3

Cell and atoms:
Lattice parameters (Å, degrees): 6.723 6.125 7.496 90.00 90.31 90.00
Space group P2_1/c (No. 14)
Inequivalent atoms, fractional coordinates:
Er 0.094 0.237 0.124 [4 per cell]
Zr 0.448 0.728 0.619 [4 per cell]
As 0.253 0.527 0.883 [4 per cell]

[7]
Eu5As4: simulated X-ray powder pattern (Cu Kα (λ = 1.5418 Å)), based on the PBE geometry in Alexandria.
Intensities are scaled so that the largest is 100.

Main lines, sorted by position (2θ from 15° to 90°):
hkl 0 2 1, 2θ = 24.92°, 3.573 Å, I = 33.5; hkl 3 1 2, 2θ = 30.41°, 2.939 Å, I = 100.0; hkl 0 2 2, 2θ = 31.63°, 2.829 Å, I = 36.1; hkl 4 2 0, 2θ = 32.26°, 2.775 Å, I = 75.8; hkl 5 1 1, 2θ = 33.09°, 2.707 Å, I = 20.5; hkl 4 2 1, 2θ = 34.22°, 2.620 Å, I = 70.1; hkl 6 0 0, 2θ = 34.93°, 2.569 Å, I = 32.4; hkl 1 1 3, 2θ = 35.90°, 2.502 Å, I = 49.6; hkl 1 3 1, 2θ = 36.04°, 2.492 Å, I = 50.6; hkl 3 3 3, 2θ = 51.62°, 1.771 Å, I = 24.2

Cell and atoms:
Lattice parameters (Å, degrees): 15.412 7.983 8.021 90.00 90.00 90.00
Space group Cmce (No. 64)
Inequivalent atoms, fractional coordinates:
Eu 0.000 0.000 0.000 [4 per cell]
Eu 0.142 0.170 0.334 [16 per cell]
As 0.000 0.122 0.623 [8 per cell]
As 0.201 0.000 0.000 [8 per cell]

[8]
Eu2As3: simulated X-ray powder pattern (Cu Kα (λ = 1.5418 Å)), based on the PBE geometry in Alexandria.
Intensities are scaled so that the largest is 100.

Main lines, sorted by position (2θ from 15° to 90°):
hkl 0 0 4, 2θ = 25.17°, 3.539 Å, I = 18.6; hkl 2 1 1, 2θ = 28.19°, 3.165 Å, I = 20.4; hkl 2 1 -5, 2θ = 28.46°, 3.136 Å, I = 23.3; hkl 4 0 -2, 2θ = 31.99°, 2.798 Å, I = 46.2; hkl 4 0 -6, 2θ = 32.30°, 2.772 Å, I = 45.2; hkl 0 2 2, 2θ = 32.82°, 2.729 Å, I = 100.0; hkl 2 1 -6, 2θ = 33.15°, 2.703 Å, I = 26.1; hkl 2 2 -3, 2θ = 34.33°, 2.612 Å, I = 24.6; hkl 4 2 -4, 2θ = 42.73°, 2.116 Å, I = 48.7; hkl 2 1 -8, 2θ = 44.12°, 2.053 Å, I = 17.9

Cell and atoms:
Lattice parameters (Å, degrees): 12.118 5.916 18.513 90.00 130.13 90.00
Space group P2/c (No. 13)
Inequivalent atoms, fractional coordinates:
Eu 0.000 0.022 0.250 [2 per cell]
Eu 0.134 0.254 0.508 [4 per cell]
Eu 0.237 0.462 0.248 [4 per cell]
Eu 0.377 0.251 0.002 [4 per cell]
Eu 0.500 0.080 0.250 [2 per cell]
As 0.081 0.468 0.843 [4 per cell]
As 0.160 0.038 0.670 [4 per cell]
As 0.190 0.236 0.076 [4 per cell]
As 0.292 0.255 0.424 [4 per cell]
As 0.391 0.092 0.846 [4 per cell]
As 0.453 0.399 0.665 [4 per cell]